The following is a computed PXRD pattern of SrAlH6. It was derived from a cell relaxed with PBE, using Cu Kα (weighted mean of Kα1 and Kα2).
Peak positions follow from Bragg's law for the DFT cell and can differ from measured ones.

Cell and atoms:
abc: 5.2343 6.5178 4.9636
angles: 90.00 101.59 90.00
Fractional coordinates of all 16 atoms:
Sr  0.0000  0.0000  0.0000
Sr  0.5000  0.5000  0.0000
Al  0.0000  0.5000  0.5000
Al  0.5000  0.0000  0.5000
H  0.0879  0.0000  0.5119
H  0.1008  0.3201  0.7469
H  0.1008  0.6799  0.7469
H  0.3992  0.1799  0.2531
H  0.3992  0.8201  0.2531
H  0.4121  0.5000  0.4881
H  0.5879  0.5000  0.5119
H  0.6008  0.1799  0.7469
H  0.6008  0.8201  0.7469
H  0.8992  0.3201  0.2531
H  0.8992  0.6799  0.2531
H  0.9121  0.0000  0.4881

Top 6 peaks for 15° ≤ 2θ ≤ 90°, low angle first:
2θ 18.25, I 28; 2θ 22.06, I 44; 2θ 26.40, I 100; 2θ 27.37, I 46; 2θ 30.98, I 63; 2θ 46.60, I 30

***

The following is a computed PXRD pattern of Pr7Dy2Ho. It was derived from a cell relaxed with PBE, using Cu Kα (weighted mean of Kα1 and Kα2).
Peak positions follow from Bragg's law for the DFT cell and can differ from measured ones.

Cell and atoms:
abc: 15.3458 15.3458 3.4741
angles: 90.00 90.00 154.77
Fractional coordinates of all 10 atoms:
Pr  0.0000  0.0000  0.0000
Pr  0.1585  0.3583  0.0000
Pr  0.1909  0.8091  0.5000
Pr  0.3583  0.1585  0.0000
Pr  0.6417  0.8415  0.0000
Pr  0.8091  0.1909  0.5000
Pr  0.8415  0.6417  0.0000
Dy  0.2933  0.7067  0.0000
Dy  0.7067  0.2933  0.0000
Ho  0.5000  0.5000  0.5000

Top 6 peaks for 15° ≤ 2θ ≤ 90°, low angle first:
2θ 29.19, I 76; 2θ 29.83, I 80; 2θ 30.33, I 100; 2θ 32.17, I 61; 2θ 35.90, I 63; 2θ 49.36, I 44

***

The following is a computed PXRD pattern of Tb2Pm2NdHo2. It was derived from a cell relaxed with PBE, using Cu Kα (weighted mean of Kα1 and Kα2).
Peak positions follow from Bragg's law for the DFT cell and can differ from measured ones.

Cell and atoms:
abc: 11.3363 5.0800 8.0499
angles: 90.00 98.19 90.00
Fractional coordinates of all 14 atoms:
Tb  0.2149  0.0000  0.1420
Tb  0.2851  0.5000  0.8580
Tb  0.7149  0.5000  0.1420
Tb  0.7851  0.0000  0.8580
Pm  0.1426  0.5000  0.4289
Pm  0.3574  0.0000  0.5711
Pm  0.6426  0.0000  0.4289
Pm  0.8574  0.5000  0.5711
Nd  0.0000  0.5000  0.0000
Nd  0.5000  0.0000  0.0000
Ho  0.0717  0.0000  0.7145
Ho  0.4283  0.5000  0.2855
Ho  0.5717  0.5000  0.7145
Ho  0.9283  0.0000  0.2855

Top 6 peaks for 15° ≤ 2θ ≤ 90°, low angle first:
2θ 30.48, I 100; 2θ 35.27, I 17; 2θ 35.37, I 34; 2θ 50.78, I 18; 2θ 50.89, I 18; 2θ 60.46, I 21

***

The following is a computed PXRD pattern of GaCuRh. It was derived from a cell relaxed with PBE, using Cu Kα (weighted mean of Kα1 and Kα2).
Peak positions follow from Bragg's law for the DFT cell and can differ from measured ones.

Cell and atoms:
abc: 3.0263 3.0263 8.8815
angles: 90.00 90.00 90.00
Fractional coordinates of all 6 atoms:
Ga  0.0000  0.0000  0.0000
Ga  0.5000  0.5000  0.5000
Cu  0.0000  0.0000  0.3404
Cu  0.5000  0.5000  0.8404
Rh  0.0000  0.0000  0.6594
Rh  0.5000  0.5000  0.1594

Top 6 peaks for 15° ≤ 2θ ≤ 90°, low angle first:
2θ 42.23, I 52; 2θ 42.73, I 100; 2θ 61.26, I 17; 2θ 62.77, I 7; 2θ 77.56, I 32; 2θ 78.58, I 15

***

The following is a computed PXRD pattern of Ta6MnCo5. It was derived from a cell relaxed with PBE, using Cu Kα (weighted mean of Kα1 and Kα2).
Peak positions follow from Bragg's law for the DFT cell and can differ from measured ones.

Cell and atoms:
abc: 7.5181 7.5181 7.5181
angles: 146.42 131.51 60.28
Fractional coordinates of all 12 atoms:
Ta  0.0826  0.3347  0.7478
Ta  0.2466  0.0000  0.2466
Ta  0.4131  0.6653  0.7478
Ta  0.5869  0.3347  0.2522
Ta  0.7534  0.0000  0.7534
Ta  0.9174  0.6653  0.2522
Mn  0.0000  0.5000  0.5000
Co  0.1694  0.1694  0.0000
Co  0.3345  0.8345  0.5000
Co  0.5000  0.5000  0.0000
Co  0.6655  0.1655  0.5000
Co  0.8306  0.8306  0.0000

Top 6 peaks for 15° ≤ 2θ ≤ 90°, low angle first:
2θ 29.10, I 24; 2θ 41.51, I 100; 2θ 41.67, I 20; 2θ 75.60, I 13; 2θ 75.81, I 13; 2θ 75.94, I 13

***

> What is the formula in the fifth record?

Ta6MnCo5